1.
Starting from a DFT-relaxed cell (GGA-PBE, Alexandria), the powder diffractogram of Cs2TlCd16 was computed for CuKα.
Intensities are scaled so that the largest is 100.

Atomic structure:
```
data_Cs2TlCd16
_chemical_formula_sum 'Cs6 Tl3 Cd48'
_space_group_name_H-M_alt 'R 3 m'
_space_group_IT_number 160
_space_group_name_Hall 'R 3 -2"'
_cell_length_a 10.7648
_cell_length_b 10.7648
_cell_length_c 15.4160
_cell_angle_alpha 90.00
_cell_angle_beta 90.00
_cell_angle_gamma 120.00
loop_
_atom_site_label
_atom_site_fract_x
_atom_site_fract_y
_atom_site_fract_z
Cs1 0.0000 0.0000 0.0000
Cs2 0.0000 0.0000 0.3109
Tl1 0.0000 0.0000 0.7568
Cd1 0.0000 0.0000 0.5555
Cd2 0.0004 0.2948 0.6563
Cd3 0.0085 0.5043 0.1560
Cd4 0.1671 0.3342 0.1412
Cd5 0.1679 0.3358 0.8384
```

Main lines, in order of falling intensity (10 to 90 degrees two-theta):
hkl 0 3 3, 33.7°, intensity 100
hkl 2 2 3, 37.7°, intensity 84
hkl 2 2 0, 33.3°, intensity 79
hkl 0 0 6, 34.9°, intensity 62
hkl 3 0 0, 28.7°, intensity 43
hkl 0 2 4, 30.1°, intensity 39

---

2.
Starting from a DFT-relaxed cell (GGA-PBE, Alexandria), the powder diffractogram of DyMn2PC was computed for CuKα.
Intensities are scaled so that the largest is 100.

Atomic structure:
```
data_DyMn2PC
_chemical_formula_sum 'Dy4 Mn8 P4 C4'
_space_group_name_H-M_alt 'C m c m'
_space_group_IT_number 63
_space_group_name_Hall '-C 2c 2'
_cell_length_a 3.643
_cell_length_b 10.429
_cell_length_c 6.879
_cell_angle_alpha 90.00
_cell_angle_beta 90.00
_cell_angle_gamma 90.00
loop_
_atom_site_label
_atom_site_fract_x
_atom_site_fract_y
_atom_site_fract_z
Dy1 0.000 0.044 0.250
Mn1 0.000 0.329 0.058
P1 0.000 0.234 0.750
C1 0.000 0.500 0.000
```

Main lines, in order of falling intensity (10 to 90 degrees two-theta):
hkl 1 1 2, 36.9°, intensity 100
hkl 1 3 0, 35.7°, intensity 36
hkl 1 3 1, 38.1°, intensity 31
hkl 0 0 2, 25.9°, intensity 26
hkl 0 2 2, 31.2°, intensity 26
hkl 2 2 2, 60.2°, intensity 16

---

3.
Starting from a DFT-relaxed cell (GGA-PBE, Alexandria), the powder diffractogram of BaSrTbTiO6 was computed for CuKα.
Intensities are scaled so that the largest is 100.

Atomic structure:
```
data_BaSrTbTiO6
_chemical_formula_sum 'Ba2 Sr2 Tb2 Ti2 O12'
_space_group_name_H-M_alt 'P -1'
_space_group_IT_number 2
_space_group_name_Hall '-P 1'
_cell_length_a 5.942
_cell_length_b 5.943
_cell_length_c 8.385
_cell_angle_alpha 89.86
_cell_angle_beta 89.77
_cell_angle_gamma 89.76
loop_
_atom_site_label
_atom_site_fract_x
_atom_site_fract_y
_atom_site_fract_z
Ba1 0.009 0.004 0.250
Sr1 0.484 0.498 0.751
Tb1 0.000 0.500 0.500
Tb2 0.500 0.000 0.000
Ti1 0.000 0.500 0.000
Ti2 0.500 0.000 0.500
O1 0.040 0.462 0.767
O2 0.213 0.754 0.992
O3 0.250 0.783 0.513
O4 0.260 0.294 0.037
O5 0.288 0.255 0.462
O6 0.480 0.056 0.733
```

Main lines, in order of falling intensity (10 to 90 degrees two-theta):
hkl 1 -1 2, 30.1°, intensity 100
hkl 2 0 0, 30.1°, intensity 98
hkl 0 2 4, 53.4°, intensity 41
hkl 0 0 4, 43.2°, intensity 40
hkl 1 -3 2, 53.6°, intensity 27
hkl 1 0 -1, 18.3°, intensity 27

---

4.
Starting from a DFT-relaxed cell (GGA-PBE, Alexandria), the powder diffractogram of Pm2SnBr was computed for CuKα.
Intensities are scaled so that the largest is 100.

Atomic structure:
```
data_Pm2SnBr
_chemical_formula_sum 'Pm4 Sn2 Br2'
_space_group_name_H-M_alt 'P m m n'
_space_group_IT_number 59
_cell_length_a 3.614
_cell_length_b 5.672
_cell_length_c 11.568
_cell_angle_alpha 90.00
_cell_angle_beta 90.00
_cell_angle_gamma 90.00
loop_
_space_group_symop_operation_xyz
'x,y,z'
'-x,-y,-z'
'-x+1/2,-y+1/2,z'
'x+1/2,y+1/2,-z'
'x+1/2,-y,-z'
'-x+1/2,y,z'
'-x,y+1/2,-z'
'x,-y+1/2,z'
loop_
_atom_site_label
_atom_site_fract_x
_atom_site_fract_y
_atom_site_fract_z
Pm1 0.250 0.250 0.097
Pm2 0.250 0.250 0.638
Sn1 0.250 0.250 0.368
Br1 0.250 0.750 0.123
```

Main lines, in order of falling intensity (10 to 90 degrees two-theta):
hkl 1 1 0, 29.3°, intensity 100
hkl 0 2 0, 31.5°, intensity 92
hkl 0 0 4, 30.9°, intensity 81
hkl 0 2 4, 44.8°, intensity 58
hkl 1 0 2, 29.1°, intensity 55
hkl 1 1 3, 37.6°, intensity 54

---

5.
Starting from a DFT-relaxed cell (GGA-PBE, Alexandria), the powder diffractogram of Tm3ZnS6 was computed for CuKα.
Intensities are scaled so that the largest is 100.

Atomic structure:
```
data_Tm3ZnS6
_chemical_formula_sum 'Tm12 Zn4 S24'
_space_group_name_H-M_alt 'C m c 21'
_space_group_IT_number 36
_space_group_name_Hall 'C 2c -2'
_cell_length_a 10.655
_cell_length_b 13.311
_cell_length_c 6.249
_cell_angle_alpha 90.00
_cell_angle_beta 90.00
_cell_angle_gamma 90.00
loop_
_atom_site_label
_atom_site_fract_x
_atom_site_fract_y
_atom_site_fract_z
Tm1 0.000 0.110 0.000
Tm2 0.179 0.395 0.924
Zn1 0.000 0.301 0.377
S1 0.000 0.279 0.741
S2 0.000 0.465 0.226
S3 0.162 0.021 0.712
S4 0.172 0.233 0.194
```

Main lines, in order of falling intensity (10 to 90 degrees two-theta):
hkl 2 2 1, 25.7°, intensity 100
hkl 1 3 1, 26.0°, intensity 74
hkl 3 1 2, 39.0°, intensity 42
hkl 3 5 0, 42.4°, intensity 39
hkl 1 1 1, 17.8°, intensity 33
hkl 0 4 2, 39.6°, intensity 31

---

6.
Starting from a DFT-relaxed cell (GGA-PBE, Alexandria), the powder diffractogram of U2TeSe was computed for CuKα.
Intensities are scaled so that the largest is 100.

Atomic structure:
```
data_U2TeSe
_chemical_formula_sum 'U6 Te3 Se3'
_space_group_name_H-M_alt 'R -3 m'
_space_group_IT_number 166
_space_group_name_Hall '-R 3 2"'
_cell_length_a 4.2744
_cell_length_b 4.2744
_cell_length_c 19.9608
_cell_angle_alpha 90.00
_cell_angle_beta 90.00
_cell_angle_gamma 120.00
loop_
_atom_site_label
_atom_site_fract_x
_atom_site_fract_y
_atom_site_fract_z
U1 0.0000 0.0000 0.2401
Te1 0.0000 0.0000 0.0000
Se1 0.0000 0.0000 0.5000
```

Main lines, in order of falling intensity (10 to 90 degrees two-theta):
hkl 1 0 4, 30.1°, intensity 100
hkl 1 1 0, 42.3°, intensity 42
hkl 0 1 8, 43.8°, intensity 32
hkl 0 2 4, 52.8°, intensity 21
hkl 0 1 2, 25.7°, intensity 21
hkl 2 1 4, 69.8°, intensity 19

---

7.
Starting from a DFT-relaxed cell (GGA-PBE, Alexandria), the powder diffractogram of BaNbAsO6 was computed for CuKα.
Intensities are scaled so that the largest is 100.

Atomic structure:
```
data_BaNbAsO6
_chemical_formula_sum 'Ba1 Nb1 As1 O6'
_space_group_name_H-M_alt 'P 3 1 2'
_space_group_IT_number 149
_space_group_name_Hall 'P 3 2'
_cell_length_a 5.2555
_cell_length_b 5.2555
_cell_length_c 5.7704
_cell_angle_alpha 90.00
_cell_angle_beta 90.00
_cell_angle_gamma 120.00
loop_
_atom_site_label
_atom_site_fract_x
_atom_site_fract_y
_atom_site_fract_z
Ba1 0.0000 0.0000 0.0000
Nb1 0.6667 0.3333 0.5000
As1 0.3333 0.6667 0.5000
O1 0.0202 0.4028 0.6882
```

Main lines, in order of falling intensity (10 to 90 degrees two-theta):
hkl 1 0 1, 24.9°, intensity 100
hkl 2 -1 2, 46.8°, intensity 39
hkl 1 1 0, 34.1°, intensity 29
hkl 3 -1 1, 55.8°, intensity 20
hkl 2 0 1, 42.7°, intensity 19
hkl 1 0 3, 51.6°, intensity 11

---

8.
Starting from a DFT-relaxed cell (GGA-PBE, Alexandria), the powder diffractogram of TiBCl2 was computed for CuKα.
Intensities are scaled so that the largest is 100.

Atomic structure:
```
data_TiBCl2
_chemical_formula_sum 'Ti3 B3 Cl6'
_space_group_name_H-M_alt 'R -3 m'
_space_group_IT_number 166
_space_group_name_Hall '-R 3 2"'
_cell_length_a 3.1491
_cell_length_b 3.1491
_cell_length_c 26.3687
_cell_angle_alpha 90.00
_cell_angle_beta 90.00
_cell_angle_gamma 120.00
loop_
_atom_site_label
_atom_site_fract_x
_atom_site_fract_y
_atom_site_fract_z
Ti1 0.0000 0.0000 0.0000
B1 0.0000 0.0000 0.5000
Cl1 0.0000 0.0000 0.3963
```

Main lines, in order of falling intensity (10 to 90 degrees two-theta):
hkl 0 0 3, 10.1°, intensity 100
hkl 0 1 5, 37.1°, intensity 33
hkl 0 1 2, 33.6°, intensity 20
hkl 1 0 10, 48.0°, intensity 18
hkl 0 1 8, 43.0°, intensity 13
hkl 1 1 0, 58.6°, intensity 10